(1)
The following is a simulated powder diffraction line list of K2CaMg. It was derived from a crystal structure in Alexandria, relaxed with PBE, using Cu Kα.

Peak list (6 most intense, 2θ from 5° to 70°, in order of rising 2θ)
| 2θ (°) | I_rel |
| --- | --- |
| 26.02 | 65 |
| 27.55 | 55 |
| 28.32 | 100 |
| 29.32 | 92 |
| 38.25 | 43 |
| 47.35 | 21 |

a b c (Å): 3.9220 6.8483 6.8406
angles (deg): 90.00 96.09 90.00
Fractional coordinates of all 4 atoms:
K 0.2258 0.0000 0.2607
K 0.7742 0.0000 0.7393
Ca 0.5000 0.5000 0.0000
Mg 0.0000 0.5000 0.5000

(2)
The following is a simulated powder diffraction line list of K2Ca2MgS4O18. It was derived from a crystal structure in Alexandria, relaxed with PBE, using Cu Kα.

Peak list (6 most intense, 2θ from 5° to 70°, in order of rising 2θ)
| 2θ (°) | I_rel |
| --- | --- |
| 13.89 | 73 |
| 25.60 | 77 |
| 26.84 | 53 |
| 27.23 | 100 |
| 27.85 | 66 |
| 31.49 | 35 |

a b c (Å): 6.7479 7.0926 9.1818
angles (deg): 108.56 99.14 101.08
Fractional coordinates of all 27 atoms:
K 0.1776 0.3415 0.3709
K 0.8224 0.6585 0.6291
Ca 0.4151 0.1220 0.7230
Ca 0.5849 0.8780 0.2770
Mg 0.0000 0.5000 0.0000
S 0.1289 0.8386 0.3473
S 0.3917 0.6545 0.8381
S 0.6083 0.3455 0.1619
S 0.8711 0.1614 0.6527
O 0.0556 0.0986 0.7112
O 0.0913 0.7174 0.4478
O 0.1618 0.2965 0.0603
O 0.1782 0.6059 0.8624
O 0.2023 0.7176 0.2061
O 0.3079 0.0258 0.4357
O 0.4221 0.8231 0.7765
O 0.4333 0.4709 0.7262
O 0.4620 0.2817 0.0014
O 0.5380 0.7183 0.9986
O 0.5667 0.5291 0.2738
O 0.5779 0.1769 0.2235
O 0.6921 0.9742 0.5643
O 0.7977 0.2824 0.7939
O 0.8218 0.3941 0.1376
O 0.8382 0.7035 0.9397
O 0.9087 0.2826 0.5522
O 0.9444 0.9014 0.2888